[1]
Diffraction record for PmNdAsO. The powder diffractogram is calculated, not measured: it uses a DFT-relaxed cell (PBE, OQMD) and Cu Kα, 1.54184 Å.
Kinematic intensities with the Lorentz-polarization factor, no thermal factor.

Crystal structure
Lattice parameters (Å, degrees): 4.273 7.998 6.004 90.00 90.00 90.00
Positions (direct):
Pm (0.000, 0.204, 0.000)
Pm (0.000, 0.796, 0.500)
Nd (0.500, 0.385, 0.562)
Nd (0.500, 0.615, 0.062)
As (0.000, 0.156, 0.496)
As (0.000, 0.844, 0.996)
O (0.500, 0.325, 0.945)
O (0.500, 0.675, 0.445)

Most intense lines, 2θ from 5° to 70°, most intense first:
| Position (°2θ) | I_rel |
| --- | --- |
| 23.6 | 100 |
| 29.8 | 85 |
| 28.0 | 78 |
| 39.9 | 51 |
| 38.3 | 46 |
| 50.5 | 43 |
| 36.9 | 40 |
| 42.3 | 39 |
| 26.8 | 36 |
| 52.6 | 34 |
| 30.6 | 33 |
| 22.2 | 30 |

[2]
Diffraction record for DyTmCl2O2. The powder diffractogram is calculated, not measured: it uses a DFT-relaxed cell (PBE, OQMD) and Cu Kα, 1.54184 Å.
Kinematic intensities with the Lorentz-polarization factor, no thermal factor.

Crystal structure
Lattice parameters (Å, degrees): 3.767 3.767 7.562 90.00 90.00 90.00
Positions (direct):
Dy (0.000, 0.000, 0.000)
Tm (0.500, 0.500, 0.303)
Cl (0.000, 0.000, 0.497)
Cl (0.500, 0.500, 0.811)
O (0.000, 0.500, 0.156)
O (0.500, 0.000, 0.156)

Most intense lines, 2θ from 5° to 70°, most intense first:
| Position (°2θ) | I_rel |
| --- | --- |
| 33.6 | 100 |
| 11.7 | 49 |
| 26.4 | 37 |
| 60.1 | 25 |
| 49.8 | 18 |
| 48.3 | 16 |
| 55.9 | 10 |
| 60.0 | 10 |
| 54.3 | 8 |
| 41.5 | 7 |
| 35.7 | 6 |
| 66.6 | 5 |

[3]
Diffraction record for HoTmSiGeOs. The powder diffractogram is calculated, not measured: it uses a DFT-relaxed cell (PBE, OQMD) and Cu Kα, 1.54184 Å.
Kinematic intensities with the Lorentz-polarization factor, no thermal factor.

Crystal structure
Lattice parameters (Å, degrees): 5.710 5.710 10.048 116.27 116.27 43.25
Positions (direct):
Ho (0.007, 0.007, 0.175)
Ho (0.993, 0.993, 0.825)
Tm (0.185, 0.185, 0.617)
Tm (0.815, 0.815, 0.383)
Si (0.357, 0.357, 0.940)
Si (0.643, 0.643, 0.060)
Ge (0.486, 0.486, 0.624)
Ge (0.514, 0.514, 0.376)
Os (0.267, 0.267, 0.125)
Os (0.733, 0.733, 0.875)

Most intense lines, 2θ from 5° to 70°, most intense first:
| Position (°2θ) | I_rel |
| --- | --- |
| 33.8 | 100 |
| 37.2 | 50 |
| 43.0 | 34 |
| 41.1 | 30 |
| 27.7 | 30 |
| 40.9 | 22 |
| 60.8 | 22 |
| 65.4 | 17 |
| 34.8 | 17 |
| 33.3 | 17 |
| 59.4 | 16 |
| 38.6 | 15 |

[4]
Diffraction record for W3AuSe5. The powder diffractogram is calculated, not measured: it uses a DFT-relaxed cell (PBE, OQMD) and Cu Kα, 1.54184 Å.
Kinematic intensities with the Lorentz-polarization factor, no thermal factor.

Crystal structure
Lattice parameters (Å, degrees): 5.597 5.597 7.469 90.00 90.00 120.00
Positions (direct):
W (0.000, 0.500, 0.000)
W (0.500, 0.000, 0.000)
W (0.500, 0.500, 0.000)
Au (0.000, 0.000, 0.500)
Se (0.000, 0.000, 0.000)
Se (0.333, 0.667, 0.271)
Se (0.333, 0.667, 0.729)
Se (0.667, 0.333, 0.271)
Se (0.667, 0.333, 0.729)

Most intense lines, 2θ from 5° to 70°, most intense first:
| Position (°2θ) | I_rel |
| --- | --- |
| 44.6 | 100 |
| 11.8 | 67 |
| 21.9 | 51 |
| 37.1 | 39 |
| 39.1 | 30 |
| 34.2 | 26 |
| 23.8 | 24 |
| 32.0 | 23 |
| 66.9 | 20 |
| 30.2 | 19 |
| 62.8 | 18 |
| 40.7 | 18 |